For Ba6Mn2ZnCl6F12, a structure optimized by DFT (PBE+U) gives the computed powder X-ray diffraction pattern in this record (Cu Kα X-rays).
Peak positions follow from Bragg's law for the DFT cell and can differ from measured ones.

Peak list (10 most intense, 2θ = 15–90°, in order of falling intensity)
Position (°2θ), Rel. int., h k l
22.94, 100.0, 1 1 1
30.65, 99.2, 3 -1 1
40.58, 74.2, 3 -1 2
26.63, 53.3, 2 1 0
25.07, 43.5, 0 2 1
47.28, 36.3, 3 2 1
30.05, 26.8, 0 0 2
39.71, 25.2, 4 -1 1
43.63, 22.2, 0 4 1
47.02, 19.6, 1 4 0

Structural model:
a = 10.2252 Å, b = 10.2252 Å, c = 5.9470 Å
α = 90.00°, β = 90.00°, γ = 120.00°
Space group P-3 (No. 147)
One atom of each set of equivalent atoms:
1 Ba 0.0915 0.6887 0.2512
2 Mn 0.3333 0.6667 0.7512
3 Zn 0.0000 0.0000 0.0000
4 Cl 0.0493 0.8257 0.7668
5 F 0.1600 0.5213 0.9862
6 F 0.1610 0.5173 0.5138